# Fe2Ni6Ge
Computed powder diffraction line list, copper Kα. Input: a GGA-PBE-relaxed structure.
Intensities are scaled so that the largest is 100.

The 7 most intense peaks (2θ from 10° to 90°), by angle:
(1 1 -3), 43.9°, rel. 100.0
(2 0 3), 50.5°, rel. 15.7
(0 2 0), 50.7°, rel. 16.2
(4 0 -3), 52.2°, rel. 14.6
(2 2 3), 74.4°, rel. 9.1
(2 0 -6), 75.6°, rel. 8.5
(4 2 -3), 75.8°, rel. 8.8

a b c (Å): 7.8844 3.5989 7.5479
angles (deg): 90.00 106.85 90.00
Space group C2/m (No. 12)
Symmetry-distinct sites (fractional):
Fe: 0.1800 0.0000 0.2378 [4 per cell]
Ni: 0.0044 0.5000 0.3321 [4 per cell]
Ni: 0.1614 0.0000 0.8908 [4 per cell]
Ni: 0.1644 0.0000 0.5548 [4 per cell]
Ge: 0.0000 0.5000 0.0000 [2 per cell]